No. 1
Structure and calculated X-ray diffraction stick pattern of TbCu4Ge4 (a cell relaxed with PBE; Cu Ka).
Neutral-atom scattering factors, no anomalous dispersion.

Most intense lines, 2θ = 10–90°, by angle:
- 30.0 deg, I 31
- 35.2 deg, I 24
- 35.4 deg, I 100
- 43.0 deg, I 18
- 44.3 deg, I 52
- 45.5 deg, I 20
- 48.4 deg, I 24
- 62.5 deg, I 17

Cell and atoms:
Cell lengths 5.9466, 5.9466, 8.4609 Å; angles 90.00, 90.00, 90.00 degrees
Fractional positions:
Tb1 0.2500 0.7500 0.2500
Tb2 0.7500 0.2500 0.7500
Cu1 0.0297 0.2500 0.1729
Cu2 0.2500 0.0297 0.6729
Cu3 0.2500 0.4703 0.6729
Cu4 0.4703 0.2500 0.1729
Cu5 0.5297 0.7500 0.8271
Cu6 0.7500 0.5297 0.3271
Cu7 0.7500 0.9703 0.3271
Cu8 0.9703 0.7500 0.8271
Ge1 0.0289 0.2500 0.4588
Ge2 0.2500 0.0289 0.9588
Ge3 0.2500 0.4711 0.9588
Ge4 0.4711 0.2500 0.4588
Ge5 0.5289 0.7500 0.5412
Ge6 0.7500 0.5289 0.0412
Ge7 0.7500 0.9711 0.0412
Ge8 0.9711 0.7500 0.5412

***

No. 2
Structure and calculated X-ray diffraction stick pattern of Tb2CuGe4 (a cell relaxed with PBE; Cu Ka).
Neutral-atom scattering factors, no anomalous dispersion.

Most intense lines, 2θ = 10–90°, by angle:
- 24.5 deg, I 12
- 31.6 deg, I 22
- 34.3 deg, I 27
- 35.0 deg, I 100
- 38.9 deg, I 21
- 44.2 deg, I 21
- 45.0 deg, I 20
- 64.9 deg, I 13

Cell and atoms:
Cell lengths 4.0302, 8.7236, 8.7236 Å; angles 27.15, 90.00, 90.00 degrees
Fractional positions:
Tb1 0.0000 0.0000 0.0000
Tb2 0.5000 0.2079 0.2079
Cu1 0.0000 0.7815 0.7815
Ge1 0.0000 0.3645 0.3645
Ge2 0.0000 0.6425 0.6425
Ge3 0.5000 0.5513 0.5513
Ge4 0.5000 0.8639 0.8639

***

No. 3
Structure and calculated X-ray diffraction stick pattern of TbCuTcGe2 (a cell relaxed with PBE; Cu Ka).
Neutral-atom scattering factors, no anomalous dispersion.

Most intense lines, 2θ = 10–90°, by angle:
- 33.3 deg, I 76
- 35.4 deg, I 100
- 44.7 deg, I 52
- 47.7 deg, I 30
- 56.8 deg, I 36
- 65.0 deg, I 17
- 67.4 deg, I 21
- 76.3 deg, I 21

Cell and atoms:
Cell lengths 6.1134, 6.1134, 6.1134 Å; angles 141.23, 141.23, 55.99 degrees
Fractional positions:
Tb1 0.0000 0.0000 0.0000
Cu1 0.2500 0.7500 0.5000
Tc1 0.7500 0.2500 0.5000
Ge1 0.3803 0.3803 0.0000
Ge2 0.6197 0.6197 0.0000

***

No. 4
Structure and calculated X-ray diffraction stick pattern of ThCu3Ge3 (a cell relaxed with PBE; Cu Ka).
Neutral-atom scattering factors, no anomalous dispersion.

Most intense lines, 2θ = 10–90°, by angle:
- 27.3 deg, I 43
- 33.6 deg, I 100
- 52.4 deg, I 57
- 56.4 deg, I 18
- 63.7 deg, I 16
- 67.2 deg, I 13
- 80.6 deg, I 16
- 83.8 deg, I 11

Cell and atoms:
Cell lengths 6.5303, 6.5303, 6.5303 Å; angles 90.00, 90.00, 90.00 degrees
Fractional positions:
Th1 0.0000 0.0000 0.0000
Th2 0.5000 0.5000 0.5000
Cu1 0.0000 0.2500 0.5000
Cu2 0.0000 0.7500 0.5000
Cu3 0.2500 0.5000 0.0000
Cu4 0.5000 0.0000 0.2500
Cu5 0.5000 0.0000 0.7500
Cu6 0.7500 0.5000 0.0000
Ge1 0.0000 0.5000 0.2500
Ge2 0.0000 0.5000 0.7500
Ge3 0.2500 0.0000 0.5000
Ge4 0.5000 0.2500 0.0000
Ge5 0.5000 0.7500 0.0000
Ge6 0.7500 0.0000 0.5000